Record 1
Starting from DFT lattice parameters and positions (GGA-PBE), the powder diffraction line list of PaI5 was simulated for Cu Kα X-rays.
Peak positions follow from Bragg's law for the DFT cell and can differ from measured ones.

Principal peaks in the range 2θ from 10° to 80°, in order of rising 2θ:
2θ (°)  Rel. int.
11.55  100
26.74  47
31.03  49
31.56  41
36.21  26
57.69  21

Cell and atoms:
```
12
Lattice="12.0443 0.0000 0.0000 0.0000 4.3748 0.0000 0.0000 0.0000 9.9270" Properties=species:S:1:pos:R:3 pbc="T T T"
Pa 3.0111 0.0000 2.2118
Pa 9.0333 0.0000 7.7152
I 0.0000 0.0000 0.0000
I 0.9237 2.1874 3.0009
I 3.0111 0.0000 5.2270
I 3.0111 2.1874 9.8478
I 5.0984 2.1874 3.0009
I 6.0222 0.0000 0.0000
I 6.9459 2.1874 6.9261
I 9.0333 0.0000 4.7000
I 9.0333 2.1874 0.0792
I 11.1206 2.1874 6.9261
```

Record 2
Starting from DFT lattice parameters and positions (GGA-PBE), the powder diffraction line list of Pa2I13 was simulated for Cu Kα X-rays.
Peak positions follow from Bragg's law for the DFT cell and can differ from measured ones.

Principal peaks in the range 2θ from 10° to 80°, in order of rising 2θ:
2θ (°)  Rel. int.
12.35  41
13.07  38
13.31  53
15.20  100
26.59  71
27.53  31

Cell and atoms:
```
15
Lattice="8.7023 0.0000 0.0000 2.2174 10.7571 0.0000 0.4551 4.7924 9.9973" Properties=species:S:1:pos:R:3 pbc="T T T"
Pa 2.5485 3.2495 1.7160
Pa 8.8264 12.3000 8.2813
I 1.1087 5.3785 0.0000
I 2.4581 14.0137 8.3506
I 1.5672 4.6003 4.0901
I 3.9774 6.8798 9.2312
I 4.8970 5.0807 1.7436
I 6.3670 12.0980 3.2965
I 5.8022 9.0961 4.6368
I 5.5727 6.4534 5.3605
I 5.0079 3.4515 6.7008
I 6.4779 10.4688 8.2537
I 7.3975 8.6696 0.7661
I 9.8077 10.9491 5.9072
I 8.9168 1.5358 1.6467
```

Record 3
Starting from DFT lattice parameters and positions (GGA-PBE), the powder diffraction line list of PaI3 was simulated for Cu Kα X-rays.
Peak positions follow from Bragg's law for the DFT cell and can differ from measured ones.

Principal peaks in the range 2θ from 10° to 80°, in order of rising 2θ:
2θ (°)  Rel. int.
12.41  100
24.98  73
33.25  60
35.62  24
37.85  34
51.25  26

Cell and atoms:
```
8
Lattice="7.1370 -4.1140 0.0000 7.1370 4.1140 0.0000 0.0000 0.0000 7.1268" Properties=species:S:1:pos:R:3 pbc="T T T"
Pa 0.0000 0.0000 0.0000
Pa 0.0000 0.0000 3.5634
I 9.3384 -2.8441 5.3451
I 4.9357 2.8441 1.7817
I 9.3384 2.8441 1.7817
I 7.1370 1.5726 5.3451
I 4.9357 -2.8441 5.3451
I 7.1370 -1.5726 1.7817
```

Record 4
Starting from DFT lattice parameters and positions (GGA-PBE), the powder diffraction line list of PaPbI6 was simulated for Cu Kα X-rays.
Peak positions follow from Bragg's law for the DFT cell and can differ from measured ones.

Principal peaks in the range 2θ from 10° to 80°, in order of rising 2θ:
2θ (°)  Rel. int.
18.12  60
26.13  100
34.12  82
40.24  64
44.65  23
67.02  24

Cell and atoms:
```
16
Lattice="7.7615 0.0000 0.0000 -3.8807 6.7216 0.0000 0.0000 0.0000 14.2842" Properties=species:S:1:pos:R:3 pbc="T T T"
Pa 0.0000 0.0000 0.0000
Pa 0.0000 0.0000 7.1421
Pb 0.0000 4.4811 3.5711
Pb 3.8807 2.2405 10.7132
I -1.1800 2.2108 8.8698
I -2.5561 4.5943 12.5565
I 1.1800 2.2108 12.5565
I -1.3761 6.6381 8.8698
I 2.5046 0.0835 1.7277
I 1.3246 2.1273 5.4144
I 2.5561 4.5943 8.8698
I 1.3761 6.6381 12.5565
I 5.2568 0.0835 5.4144
I 2.7007 4.5108 1.7277
I 6.4368 2.1273 1.7277
I 5.0607 4.5108 5.4144
```

Record 5
Starting from DFT lattice parameters and positions (GGA-PBE), the powder diffraction line list of PaPtI was simulated for Cu Kα X-rays.
Peak positions follow from Bragg's law for the DFT cell and can differ from measured ones.

Principal peaks in the range 2θ from 10° to 80°, in order of rising 2θ:
2θ (°)  Rel. int.
14.70  78
26.45  82
30.98  95
35.93  84
38.46  100
42.05  53

Cell and atoms:
```
12
Lattice="0.0000 6.7281 3.9566 6.4352 0.0000 3.9566 6.4352 6.7281 0.0000" Properties=species:S:1:pos:R:3 pbc="T T T"
Pa 3.2651 0.8634 1.9783
Pa 6.4827 2.5006 3.9566
Pa 3.1701 5.8646 1.9783
Pa 6.3877 10.9556 3.9566
Pt 11.4432 6.8035 3.9864
Pt 4.6447 3.4395 2.0081
Pt 1.7905 3.2886 2.0081
Pt 1.4271 6.6526 3.9864
I 7.8022 5.4682 3.3668
I 5.0682 7.9880 3.3668
I 4.5846 4.6239 5.3451
I 8.2857 8.8322 5.3451
```

Record 6
Starting from DFT lattice parameters and positions (GGA-PBE), the powder diffraction line list of RbPaS3I was simulated for Cu Kα X-rays.
Peak positions follow from Bragg's law for the DFT cell and can differ from measured ones.

Principal peaks in the range 2θ from 10° to 80°, in order of rising 2θ:
2θ (°)  Rel. int.
20.67  100
27.61  46
27.91  32
30.81  47
34.99  37
38.74  39

Cell and atoms:
```
12
Lattice="3.9232 -8.6510 0.0000 3.9232 8.6510 0.0000 -3.8594 0.0000 5.6045" Properties=species:S:1:pos:R:3 pbc="T T T"
Rb 1.0287 7.9283 4.2034
Rb 2.9584 -7.9283 1.4011
Pa 2.9584 3.2457 1.4011
Pa 1.0287 -3.2457 4.2034
S -0.5334 5.2534 5.3156
S 2.5907 5.2534 3.0911
S 2.9584 0.7310 1.4011
S 1.0287 -0.7310 4.2034
S 1.3963 -5.2534 2.5134
S 4.5204 -5.2534 0.2889
I 1.0287 2.3032 4.2034
I 2.9584 -2.3032 1.4011
```

Record 7
Starting from DFT lattice parameters and positions (GGA-PBE), the powder diffraction line list of Pa2RhI2 was simulated for Cu Kα X-rays.
Peak positions follow from Bragg's law for the DFT cell and can differ from measured ones.

Principal peaks in the range 2θ from 10° to 80°, in order of rising 2θ:
2θ (°)  Rel. int.
25.20  25
27.15  32
30.35  54
30.88  100
43.51  29
44.18  63

Cell and atoms:
```
5
Lattice="3.5505 -2.0510 0.0000 3.5505 2.0510 0.0000 -2.6584 0.0000 11.8671" Properties=species:S:1:pos:R:3 pbc="T T T"
Pa 1.1831 0.0000 1.4718
Pa 3.2595 0.0000 10.3954
Rh 3.5505 0.0000 0.0000
I -1.4736 0.0000 8.1266
I 5.9162 0.0000 3.7406
```

Record 8
Starting from DFT lattice parameters and positions (GGA-PBE), the powder diffraction line list of Pa2SI7 was simulated for Cu Kα X-rays.
Peak positions follow from Bragg's law for the DFT cell and can differ from measured ones.

Principal peaks in the range 2θ from 10° to 80°, in order of rising 2θ:
2θ (°)  Rel. int.
11.36  75
19.21  54
22.18  100
27.56  97
29.55  61
33.55  86

Cell and atoms:
```
10
Lattice="4.2029 0.0000 0.0000 1.9650 9.1099 0.0000 1.9505 1.9263 11.8570" Properties=species:S:1:pos:R:3 pbc="T T T"
Pa 0.9753 0.7205 4.2022
Pa 7.1431 10.3156 7.6549
S 3.0767 0.9631 5.9285
I 0.9825 4.5549 0.0000
I 2.9393 7.4365 6.3623
I 2.9537 7.5368 2.4378
I 5.0402 9.1164 9.5621
I 3.0782 1.9197 2.2950
I 5.1647 3.4993 9.4193
I 5.1792 3.5997 5.4948
```

Record 9
Starting from DFT lattice parameters and positions (GGA-PBE), the powder diffraction line list of Pa3S5I3 was simulated for Cu Kα X-rays.
Peak positions follow from Bragg's law for the DFT cell and can differ from measured ones.

Principal peaks in the range 2θ from 10° to 80°, in order of rising 2θ:
2θ (°)  Rel. int.
14.32  22
21.38  100
28.87  28
36.21  54
37.49  29
47.99  28

Cell and atoms:
```
11
Lattice="8.3107 0.0000 0.0000 -4.1554 7.1973 0.0000 0.0000 0.0000 6.1852" Properties=species:S:1:pos:R:3 pbc="T T T"
Pa -1.5132 2.6210 0.0000
Pa 3.0264 0.0000 0.0000
Pa 2.6421 4.5763 0.0000
S -3.1106 5.3878 0.0000
S 1.0447 1.8095 0.0000
S 0.0000 4.7982 0.0000
S 4.1554 2.3991 0.0000
S 6.2213 0.0000 0.0000
I -1.5574 2.6974 3.0926
I 3.1147 0.0000 3.0926
I 2.5980 4.4999 3.0926
```

Record 10
Starting from DFT lattice parameters and positions (GGA-PBE), the powder diffraction line list of PaSI was simulated for Cu Kα X-rays.
Peak positions follow from Bragg's law for the DFT cell and can differ from measured ones.

Principal peaks in the range 2θ from 10° to 80°, in order of rising 2θ:
2θ (°)  Rel. int.
23.08  38
23.84  62
27.57  38
32.68  100
45.44  31
45.74  31

Cell and atoms:
```
6
Lattice="3.8969 0.0000 0.0000 0.0000 3.8976 0.0000 -1.8361 0.0000 12.9415" Properties=species:S:1:pos:R:3 pbc="T T T"
Pa 0.0560 0.9744 5.0499
Pa 2.0048 2.9232 7.8916
S 0.0564 0.9744 7.9127
S 2.0045 2.9232 5.0288
I 0.0563 0.9744 2.1563
I 2.0045 2.9232 10.7852
```

Record 11
Starting from DFT lattice parameters and positions (GGA-PBE), the powder diffraction line list of Pa2SbI2 was simulated for Cu Kα X-rays.
Peak positions follow from Bragg's law for the DFT cell and can differ from measured ones.

Principal peaks in the range 2θ from 10° to 80°, in order of rising 2θ:
2θ (°)  Rel. int.
28.35  100
32.07  37
35.20  25
40.60  39
45.31  36
64.44  24

Cell and atoms:
```
5
Lattice="2.0013 1.1555 12.5470 -2.0013 1.1555 12.5470 0.0000 -2.3109 12.5470" Properties=species:S:1:pos:R:3 pbc="T T T"
Pa 0.0000 0.0000 4.2566
Pa 0.0000 0.0000 33.3844
Sb 0.0000 0.0000 18.8205
I 0.0000 0.0000 10.4958
I 0.0000 0.0000 27.1452
```

Record 12
Starting from DFT lattice parameters and positions (GGA-PBE), the powder diffraction line list of Pa3SeI7 was simulated for Cu Kα X-rays.
Peak positions follow from Bragg's law for the DFT cell and can differ from measured ones.

Principal peaks in the range 2θ from 10° to 80°, in order of rising 2θ:
2θ (°)  Rel. int.
11.06  63
27.16  100
33.49  69
42.18  31
43.54  34
56.04  19

Cell and atoms:
```
11
Lattice="8.3146 0.0000 0.0000 -4.1573 7.2006 0.0000 0.0000 0.0000 7.9981" Properties=species:S:1:pos:R:3 pbc="T T T"
Pa 0.0000 2.4977 0.0000
Pa -1.9942 5.9518 0.0000
Pa 1.9942 5.9518 0.0000
Se 0.0000 0.0000 6.6208
I 0.0000 4.8004 2.1854
I 2.1278 1.2285 1.8889
I 4.1573 0.0464 6.0197
I 2.1188 3.5771 6.0197
I 6.1868 1.2285 1.8889
I 4.1573 4.7437 1.8889
I 6.1957 3.5771 6.0197
```

Record 13
Starting from DFT lattice parameters and positions (GGA-PBE), the powder diffraction line list of PaSeI was simulated for Cu Kα X-rays.
Peak positions follow from Bragg's law for the DFT cell and can differ from measured ones.

Principal peaks in the range 2θ from 10° to 80°, in order of rising 2θ:
2θ (°)  Rel. int.
17.87  100
30.78  66
30.98  64
31.68  64
44.76  48
44.90  71

Cell and atoms:
```
6
Lattice="4.0375 0.0000 0.0000 0.0000 5.6488 0.0000 -1.9528 0.0000 10.3871" Properties=species:S:1:pos:R:3 pbc="T T T"
Pa 0.0330 1.4122 4.1984
Pa 2.0517 4.2366 6.1887
Se 0.0329 4.2366 4.0870
Se 2.0518 1.4122 6.3001
I 0.0329 4.2366 8.5572
I 2.0518 1.4122 1.8299
```

Record 14
Starting from DFT lattice parameters and positions (GGA-PBE), the powder diffraction line list of PaSnI was simulated for Cu Kα X-rays.
Peak positions follow from Bragg's law for the DFT cell and can differ from measured ones.

Principal peaks in the range 2θ from 10° to 80°, in order of rising 2θ:
2θ (°)  Rel. int.
29.03  50
29.53  37
33.31  100
36.33  77
51.45  41
63.62  31

Cell and atoms:
```
6
Lattice="16.6246 0.0000 0.0000 0.0000 1.7760 3.0762 0.0000 -1.7760 3.0762" Properties=species:S:1:pos:R:3 pbc="T T T"
Pa 2.5959 0.0000 0.0000
Pa 14.0287 0.0000 0.0000
Sn 0.0000 0.0000 4.1022
Sn 8.3123 0.0000 4.1283
I 4.9717 0.0000 4.1022
I 11.6529 0.0000 4.1022
```